Starting from a cell relaxed with GGA-PBE, the powder X-ray diffraction pattern of AcAl6Ge4 was calculated for Cu Kα.
No peak broadening, texture or thermal motion is included.

The 10 most intense peaks (15° ≤ 2θ ≤ 90°), most intense first:
2theta	d (Å)	I/Imax	h k l
28.74	3.107	100	1 0 5
37.46	2.401	96	2 0 0
26.25	3.395	51	1 1 0
47.89	1.900	50	2 1 5
27.70	3.221	48	1 1 2
52.99	1.728	43	1 0 11
36.09	2.489	34	1 0 7
18.99	4.673	31	1 0 1
31.67	2.825	31	1 1 4
66.69	1.402	25	2 1 11

Structural model:
```
data_AcAl6Ge4
_cell_length_a 4.8009
_cell_length_b 4.8009
_cell_length_c 20.3750
_cell_angle_alpha 90.00
_cell_angle_beta 90.00
_cell_angle_gamma 90.00
_space_group_name_H-M_alt 'I 4/m m m'
_space_group_IT_number 139
_space_group_name_Hall '-I 4 2'
loop_
_atom_site_label
_atom_site_type_symbol
_atom_site_fract_x
_atom_site_fract_y
_atom_site_fract_z
Ac1 Ac 0.0000 0.0000 0.0000
Al1 Al 0.0000 0.5000 0.1201
Al2 Al 0.0000 0.5000 0.2500
Ge1 Ge 0.0000 0.0000 0.1838
Ge2 Ge 0.0000 0.0000 0.4371
```